Theoretical powder diffraction line list of Sr3CuIrO6 for λ = 1.5418 Å (Cu Kα), from a GGA-PBE-relaxed structure.
Intensities are scaled so that the largest is 100.

```
data_Sr3CuIrO6
_chemical_formula_sum 'Sr12 Cu4 Ir4 O24'
_cell_length_a 9.4560
_cell_length_b 9.7987
_cell_length_c 6.7607
_cell_angle_alpha 90.00
_cell_angle_beta 91.06
_cell_angle_gamma 90.00
_space_group_name_H-M_alt 'C 1 2/c 1'
_space_group_IT_number 15
_space_group_name_Hall '-C 2yc'
loop_
_atom_site_label
_atom_site_type_symbol
_atom_site_fract_x
_atom_site_fract_y
_atom_site_fract_z
_atom_site_occupancy
Sr1 Sr 0.0000 0.1010 0.2500 1
Sr2 Sr 0.1832 0.4246 0.3791 1
Cu1 Cu 0.0000 0.3091 0.7500 1
Ir1 Ir 0.2500 0.2500 0.0000 1
O1 O 0.0579 0.3410 0.0374 1
O2 O 0.1470 0.0747 0.9306 1
O3 O 0.2143 0.3168 0.7175 1
```

Peak list (12 most intense, 10° ≤ 2θ ≤ 80°, sorted by position)
h k l  2θ (°)  I (rel.)
1 1 -1  18.38  42
1 1 1  18.63  48
2 0 0  18.77  26
2 2 1  29.55  42
1 3 -1  31.79  100
2 0 -2  32.26  61
3 1 1  32.87  21
2 2 2  37.77  26
1 1 3  42.44  39
0 2 3  44.25  19
4 2 -1  44.40  20
5 3 -1  57.73  24

***

Theoretical powder diffraction line list of SrLaAg2S4 for λ = 1.5418 Å (Cu Kα), from a GGA-PBE-relaxed structure.
Intensities are scaled so that the largest is 100.

```
data_SrLaAg2S4
_chemical_formula_sum 'Sr2 La2 Ag4 S8'
_cell_length_a 7.0503
_cell_length_b 7.0503
_cell_length_c 7.7209
_cell_angle_alpha 90.00
_cell_angle_beta 90.00
_cell_angle_gamma 90.00
_space_group_name_H-M_alt 'I -4 2 m'
_space_group_IT_number 121
_space_group_name_Hall 'I -4 2'
loop_
_atom_site_label
_atom_site_type_symbol
_atom_site_fract_x
_atom_site_fract_y
_atom_site_fract_z
_atom_site_occupancy
Sr1 Sr 0.0000 0.0000 0.0000 1
La1 La 0.0000 0.0000 0.5000 1
Ag1 Ag 0.0000 0.5000 0.2500 1
S1 S 0.2287 0.2287 0.7349 1
```

Peak list (12 most intense, 10° ≤ 2θ ≤ 80°, sorted by position)
h k l  2θ (°)  I (rel.)
2 0 0  25.26  36
1 1 2  29.26  100
2 0 2  34.45  5
2 2 0  36.03  46
0 0 4  47.07  65
4 0 0  51.87  15
2 0 4  54.17  10
4 2 0  58.55  8
2 2 4  60.68  30
4 0 4  72.64  24
4 4 0  76.44  11
4 2 4  78.30  7